Theoretical XRD peak list of LiSm4Mo4O14 for CuKα, from DFT lattice parameters and positions (PBE+U).
Peak positions follow from Bragg's law for the DFT cell and can differ from measured ones.

Crystal structure
Cell: 7.4895 7.4895 7.4895 Å, 60.82 60.82 60.82°
Atoms (fractional coordinates):
Li (0.0000, 0.0000, 0.0000)
Sm (0.1251, 0.6182, 0.6388)
Sm (0.6182, 0.6388, 0.1251)
Sm (0.6269, 0.6269, 0.6269)
Sm (0.6388, 0.1251, 0.6182)
Mo (0.1281, 0.6124, 0.1341)
Mo (0.1312, 0.1312, 0.1312)
Mo (0.1341, 0.1281, 0.6124)
Mo (0.6124, 0.1341, 0.1281)
O (0.0262, 0.4739, 0.0425)
O (0.0332, 0.4636, 0.4568)
O (0.0425, 0.0262, 0.4739)
O (0.1993, 0.2215, 0.7868)
O (0.2107, 0.7938, 0.8044)
O (0.2215, 0.7868, 0.1993)
O (0.4568, 0.0332, 0.4636)
O (0.4636, 0.4568, 0.0332)
O (0.4739, 0.0425, 0.0262)
O (0.5010, 0.5010, 0.5010)
O (0.7518, 0.7518, 0.7518)
O (0.7868, 0.1993, 0.2215)
O (0.7938, 0.8044, 0.2107)
O (0.8044, 0.2107, 0.7938)

Largest 6 diffraction maxima, by intensity, 2θ = 10–80°:
2theta  intensity
28.9  100
33.6  42
29.4  33
48.0  33
48.6  31
57.3  28